This entry pairs a crystal structure of Tb3MnO7 with its theoretical powder diffraction line list. Radiation: Cu Kα. Structure: a DFT-relaxed cell (PBE+U, Alexandria).
Neutral-atom scattering factors, no anomalous dispersion.

Most intense lines, 2θ = 10–90°, in order of rising 2θ:
2θ 29.37, 3.041 Å, rel. 99; 2θ 29.64, 3.014 Å, rel. 100; 2θ 34.13, 2.627 Å, rel. 44; 2θ 34.35, 2.610 Å, rel. 19; 2θ 49.20, 1.852 Å, rel. 53; 2θ 49.38, 1.845 Å, rel. 17; 2θ 58.04, 1.589 Å, rel. 21; 2θ 58.50, 1.578 Å, rel. 37

Structural model:
```
Tb3MnO7
1.0
3.741 -5.221 0.000
3.741 5.221 0.000
0.000 0.000 7.382
Tb Mn O
6 2 14
direct
0.033 0.033 0.000
0.040 0.496 0.256
0.496 0.040 0.744
0.504 0.960 0.244
0.960 0.504 0.756
0.967 0.967 0.500
0.495 0.495 0.000
0.505 0.505 0.500
0.131 0.869 0.750
0.136 0.864 0.250
0.178 0.423 0.975
0.192 0.434 0.535
0.423 0.178 0.025
0.432 0.568 0.250
0.434 0.192 0.465
0.566 0.808 0.965
0.568 0.432 0.750
0.577 0.822 0.525
0.808 0.566 0.035
0.822 0.577 0.475
0.864 0.136 0.750
0.869 0.131 0.250
```